Starting from a structure optimized by DFT (GGA-PBE), the powder X-ray diffraction pattern of Ba4Fe2S4I5 was simulated for a wavelength of 1.5418 Å.

Peak list (10 most intense, 2θ = 5–70°, low angle first)
(hkl)  d/Å  I_rel
1 2 1  3.938  37
3 0 1  3.428  87
4 2 0  3.116  60
3 2 1  3.076  100
1 4 1  2.814  62
1 5 0  2.733  27
0 0 2  2.540  32
3 5 0  2.389  32
1 5 2  1.861  28
1 8 1  1.636  31

Structural model:
Cell: 13.935 13.935 5.080 Å, 90.00 90.00 90.00°
Space group I4/m (No. 87)
Symmetry-distinct sites (fractional):
Ba (0.056, 0.252, 0.000)
Fe (0.000, 0.500, 0.250)
S (0.080, 0.404, 0.500)
I (0.000, 0.000, 0.000)
I (0.134, 0.795, 0.500)